Structure and calculated PXRD pattern of PbWF3 (DFT lattice parameters and positions (PBE+U); Cu Kα, 1.54184 Å).
Peak positions follow from Bragg's law for the DFT cell and can differ from measured ones.

The 6 most intense peaks (5 to 70 degrees two-theta), by intensity:
(1 1 0), 2θ 28.41, I = 100
(2 1 1), 2θ 50.30, I = 43
(2 0 0), 2θ 40.61, I = 29
(3 1 0), 2θ 66.54, I = 19
(2 2 0), 2θ 58.77, I = 19
(1 1 1), 2θ 34.97, I = 2

Structure:
```
5
Lattice="4.444 0.000 0.000 0.000 4.444 0.000 0.000 0.000 4.444" Properties=species:S:1:pos:R:3 pbc="T T T"
Pb 0.000 0.000 0.000
W 2.222 2.222 2.222
F 0.000 2.222 2.222
F 2.222 0.000 2.222
F 2.222 2.222 0.000
```